(1)
Starting from the GGA-PBE geometry in Alexandria, the X-ray powder pattern of Na2SnS3O7 was calculated for CuKα.

Structure:
```
Na2SnS3O7
1.0
6.543 0.000 0.000
2.774 8.489 0.000
1.634 -0.150 8.951
Na Sn S O
4 2 6 14
Cartesian
1.979 4.136 2.027
5.726 5.408 8.136
5.225 2.931 0.815
8.972 4.203 6.924
3.183 0.275 2.887
7.768 8.064 6.064
1.204 0.840 4.541
2.887 1.322 8.888
4.527 2.777 4.205
6.424 5.561 4.747
8.064 7.017 0.063
9.747 7.499 4.410
0.990 1.991 1.322
2.406 6.294 1.020
3.518 3.334 5.135
4.650 3.412 8.813
4.623 2.051 8.543
3.904 2.735 2.773
6.467 7.197 4.508
4.483 1.142 4.443
7.047 5.603 6.178
6.327 6.288 0.408
6.300 4.927 0.139
7.432 5.005 3.816
8.544 2.045 7.931
9.961 6.347 7.629
```

Peak list (10 most intense, 2θ from 10° to 90°, by angle)
- 2θ 10.42, intensity 60
- 2θ 14.49, intensity 100
- 2θ 15.00, intensity 88
- 2θ 18.95, intensity 66
- 2θ 22.98, intensity 31
- 2θ 26.54, intensity 75
- 2θ 30.44, intensity 60
- 2θ 31.20, intensity 30
- 2θ 33.63, intensity 31
- 2θ 35.75, intensity 33

=====

(2)
Starting from the GGA-PBE geometry in Alexandria, the X-ray powder pattern of Na2SrSO4 was calculated for CuKα.

Structure:
```
Na2SrSO4
1.0
-2.865 2.865 3.316
2.865 -2.865 3.316
2.865 2.865 -3.316
Na Sr S O
2 1 1 4
Cartesian
0.000 0.000 0.000
0.000 2.865 1.658
2.865 0.000 1.658
0.000 0.000 3.316
4.104 1.617 -0.008
1.617 1.627 0.008
-1.239 1.249 3.308
1.249 1.239 3.324
```

Peak list (10 most intense, 2θ from 10° to 90°, by angle)
- 2θ 20.48, intensity 61
- 2θ 21.93, intensity 14
- 2θ 31.21, intensity 27
- 2θ 34.96, intensity 100
- 2θ 37.63, intensity 22
- 2θ 41.66, intensity 26
- 2θ 44.73, intensity 40
- 2θ 57.99, intensity 38
- 2θ 73.85, intensity 15
- 2θ 76.09, intensity 11